# KCoH3C3O6
Simulated X-ray powder pattern, Cu Kα (λ = 1.5418 Å). Input: a cell relaxed with GGA+U.
Lines closer than 0.1° are merged.

Structure:
```
data_KCoH3C3O6
_chemical_formula_sum 'K2 Co2 H6 C6 O12'
_symmetry_space_group_name_H-M 'P 63 2 2'
_symmetry_Int_Tables_number 182
_symmetry_space_group_name_Hall 'P 6c 2c'
_cell_length_a 6.9003
_cell_length_b 6.9003
_cell_length_c 8.4800
_cell_angle_alpha 90.00
_cell_angle_beta 90.00
_cell_angle_gamma 120.00
loop_
_atom_site_label
_atom_site_fract_x
_atom_site_fract_y
_atom_site_fract_z
K1 0.0000 0.0000 0.2500
Co1 0.3333 0.6667 0.2500
H1 0.0000 0.4033 0.0000
C1 0.0000 0.4367 0.5000
O1 0.0980 0.3987 0.3879
```

Principal peaks in the range 2θ from 10° to 90°, sorted by position:
h k l  2θ/deg  d/Å  I/Imax
1 0 1  18.2  4.885  100.0
1 1 0  25.8  3.452  13.9
1 1 1  27.9  3.196  25.3
1 1 2  33.5  2.676  55.3
2 1 1  41.4  2.183  10.2
2 0 3  44.1  2.053  12.9
3 0 0  45.5  1.993  22.4
1 1 4  50.5  1.806  15.0
3 0 2  50.6  1.803  9.2
2 1 3  51.8  1.765  9.3